[1]
Starting from a crystal structure in Alexandria, relaxed with PBE, the X-ray diffraction stick pattern of CuOsRu2 was simulated for λ = 1.5418 Å (Cu Kα).
Peak positions follow from Bragg's law for the DFT cell and can differ from measured ones.

Largest 10 diffraction maxima, by angle, 10° ≤ 2θ ≤ 90°:
16.75 deg, rel. 26; 28.99 deg, rel. 18; 40.82 deg, rel. 100; 41.64 deg, rel. 94; 47.95 deg, rel. 62; 48.04 deg, rel. 31; 70.22 deg, rel. 39; 83.87 deg, rel. 12; 83.99 deg, rel. 12; 84.60 deg, rel. 12

Cell and atoms:
```
4
Lattice="2.722 0.000 0.000 0.000 3.788 0.000 -0.008 0.000 5.292" Properties=species:S:1:pos:R:3 pbc="T T T"
Cu 0.000 0.000 0.000
Os -0.004 0.000 2.646
Ru 1.360 1.894 1.295
Ru 1.354 1.894 3.996
```

[2]
Starting from a crystal structure in Alexandria, relaxed with PBE, the X-ray diffraction stick pattern of CuOsRu was simulated for λ = 1.5418 Å (Cu Kα).
Peak positions follow from Bragg's law for the DFT cell and can differ from measured ones.

Largest 10 diffraction maxima, by angle, 10° ≤ 2θ ≤ 90°:
22.31 deg, rel. 15; 23.04 deg, rel. 18; 40.92 deg, rel. 100; 41.86 deg, rel. 93; 47.62 deg, rel. 64; 49.25 deg, rel. 29; 70.93 deg, rel. 47; 83.42 deg, rel. 25; 85.30 deg, rel. 23; 88.70 deg, rel. 12

Cell and atoms:
```
6
Lattice="2.305 -3.985 0.000 2.305 3.985 0.000 -1.334 0.000 4.410" Properties=species:S:1:pos:R:3 pbc="T T T"
Cu 1.304 2.006 3.308
Cu 1.971 -2.006 1.103
Os 1.971 0.615 1.103
Os 1.304 -0.615 3.308
Ru 1.971 3.337 1.103
Ru 1.304 -3.337 3.308
```

[3]
Starting from a crystal structure in Alexandria, relaxed with PBE, the X-ray diffraction stick pattern of CuSb2Os was simulated for λ = 1.5418 Å (Cu Kα).
Peak positions follow from Bragg's law for the DFT cell and can differ from measured ones.

Largest 10 diffraction maxima, by angle, 10° ≤ 2θ ≤ 90°:
11.41 deg, rel. 100; 29.57 deg, rel. 30; 35.86 deg, rel. 89; 38.83 deg, rel. 83; 40.60 deg, rel. 19; 44.63 deg, rel. 94; 56.08 deg, rel. 28; 68.38 deg, rel. 26; 73.44 deg, rel. 20; 74.35 deg, rel. 40

Cell and atoms:
```
4
Lattice="3.280 0.000 0.000 0.000 3.280 0.000 0.000 0.000 7.756" Properties=species:S:1:pos:R:3 pbc="T T T"
Cu 0.000 0.000 0.000
Sb 0.000 0.000 2.923
Sb 1.640 1.640 6.322
Os 1.640 1.640 1.402
```

[4]
Starting from a crystal structure in Alexandria, relaxed with PBE, the X-ray diffraction stick pattern of ScCuOs2 was simulated for λ = 1.5418 Å (Cu Kα).
Peak positions follow from Bragg's law for the DFT cell and can differ from measured ones.

Largest 10 diffraction maxima, by angle, 10° ≤ 2θ ≤ 90°:
12.06 deg, rel. 82; 33.33 deg, rel. 17; 39.71 deg, rel. 100; 44.34 deg, rel. 38; 46.12 deg, rel. 13; 48.78 deg, rel. 18; 49.69 deg, rel. 12; 64.50 deg, rel. 12; 68.77 deg, rel. 17; 78.48 deg, rel. 27

Cell and atoms:
```
4
Lattice="2.889 0.000 0.000 0.000 2.889 0.000 0.000 0.000 7.339" Properties=species:S:1:pos:R:3 pbc="T T T"
Sc 0.000 0.000 0.000
Cu 1.445 1.445 1.937
Os 0.000 0.000 3.645
Os 1.445 1.445 5.296
```